(1)
For Ac3Ge2I3, a cell relaxed with PBE gives the simulated powder diffraction line list in this record (Cu Kα, 1.54184 Å).

Structure:
```
Ac3Ge2I3
1.0
9.752 0.000 0.000
-4.876 8.446 0.000
0.000 0.000 6.517
Ac Ge I
6 4 6
Cartesian
-1.919 3.324 1.629 Ac
-2.957 5.122 4.888 Ac
3.838 0.000 1.629 Ac
1.919 3.324 4.888 Ac
5.915 0.000 4.888 Ac
2.957 5.122 1.629 Ac
0.000 5.631 0.000 Ge
0.000 5.631 3.258 Ge
4.876 2.815 0.000 Ge
4.876 2.815 3.258 Ge
-1.198 2.076 4.888 I
-3.678 6.370 1.629 I
2.397 0.000 4.888 I
1.198 2.076 1.629 I
7.356 0.000 1.629 I
3.678 6.370 4.888 I
```

The 12 most intense peaks (2θ from 5° to 70°), sorted by position:
Position (°2θ)  I (rel.)
18.19  22
22.78  22
27.37  32
27.95  13
31.20  100
31.78  37
33.06  48
39.47  13
40.94  30
50.84  26
59.64  12
61.87  20


(2)
For Ac7GeI12, a cell relaxed with PBE gives the simulated powder diffraction line list in this record (Cu Kα, 1.54184 Å).

Structure:
```
Ac7GeI12
1.0
8.477 4.894 3.727
-8.477 4.894 3.727
0.000 -9.788 3.727
Ac Ge I
7 1 12
Cartesian
0.000 0.000 0.000 Ac
-1.795 -1.742 3.820 Ac
-0.611 2.425 3.820 Ac
2.406 -0.684 3.820 Ac
-2.406 0.684 7.360 Ac
0.611 -2.425 7.360 Ac
1.795 1.742 7.360 Ac
0.000 0.000 5.590 Ge
-2.736 0.770 1.756 I
0.701 -2.754 1.756 I
-4.585 -1.159 5.587 I
-1.289 -4.550 5.593 I
2.035 1.984 1.756 I
-3.296 3.391 5.593 I
3.296 -3.391 5.587 I
-2.035 -1.984 9.424 I
1.289 4.550 5.587 I
4.585 1.159 5.593 I
-0.701 2.754 9.424 I
2.736 -0.770 9.424 I
```

The 12 most intense peaks (2θ from 5° to 70°), sorted by position:
Position (°2θ)  I (rel.)
9.94  7
10.44  25
26.12  12
27.09  100
38.28  38
39.09  37
47.53  20
48.88  8
55.87  13
62.60  16
63.73  16
69.75  11


(3)
For Ac2GeI2, a cell relaxed with PBE gives the simulated powder diffraction line list in this record (Cu Kα, 1.54184 Å).

Structure:
```
Ac2GeI2
1.0
2.339 1.350 11.841
-2.339 1.350 11.841
0.000 -2.701 11.841
Ac Ge I
2 1 2
Cartesian
0.000 0.000 4.184 Ac
0.000 0.000 31.339 Ac
0.000 0.000 17.761 Ge
0.000 0.000 9.772 I
0.000 0.000 25.751 I
```

The 12 most intense peaks (2θ from 5° to 70°), sorted by position:
Position (°2θ)  I (rel.)
7.47  63
22.08  15
25.31  100
28.19  23
29.85  53
38.49  50
39.79  41
46.63  22
49.46  13
56.56  21
61.47  19
62.00  18


(4)
For Ac8Ge3SI4, a cell relaxed with PBE gives the simulated powder diffraction line list in this record (Cu Kα, 1.54184 Å).

Structure:
```
Ac8Ge3SI4
1.0
4.550 2.627 8.157
-4.550 2.627 8.157
0.000 -5.253 8.157
Ac Ge S I
8 3 1 4
Cartesian
0.000 0.000 5.727 Ac
-2.230 -1.288 13.853 Ac
0.000 -2.575 10.618 Ac
-2.230 1.288 10.618 Ac
2.230 -1.288 13.853 Ac
0.000 2.575 13.853 Ac
2.230 1.288 10.618 Ac
0.000 0.000 18.744 Ac
-4.550 0.000 12.236 Ge
-2.275 1.313 4.079 Ge
2.275 1.313 4.079 Ge
0.000 0.000 12.236 S
0.000 0.000 0.000 I
-2.275 -1.313 8.157 I
-2.275 1.313 16.314 I
0.000 2.627 8.157 I
```

The 12 most intense peaks (2θ from 5° to 70°), sorted by position:
Position (°2θ)  I (rel.)
23.72  22
26.92  100
29.10  19
32.94  10
34.29  9
37.21  28
39.62  41
48.55  20
52.45  16
53.99  11
55.48  9
64.39  17